Entry 1:
# TbPaTe3
Computed X-ray powder pattern, Cu Kα, 1.54184 Å. Input: the GGA-PBE geometry in Alexandria.
No peak broadening, texture or thermal motion is included.

Structure:
Unit cell a=4.315 b=4.315 c=22.305 alpha=90.00 beta=90.00 gamma=120.00
Atoms (fractional coordinates):
1 Tb 0.333 0.667 0.000
2 Tb 0.667 0.333 0.500
3 Pa 0.000 0.000 0.177
4 Pa 0.000 0.000 0.677
5 Te 0.000 0.000 0.425
6 Te 0.000 0.000 0.925
7 Te 0.333 0.667 0.258
8 Te 0.333 0.667 0.590
9 Te 0.667 0.333 0.090
10 Te 0.667 0.333 0.758

Peak list (6 most intense, 2θ from 5° to 70°, most intense first)
| 2θ/deg | Rel. int. |
| --- | --- |
| 28.8 | 100 |
| 41.9 | 53 |
| 40.4 | 50 |
| 7.9 | 49 |
| 26.7 | 45 |
| 66.4 | 25 |

Entry 2:
# La2CeSi2S8I
Computed X-ray powder pattern, Cu Kα, 1.54184 Å. Input: the GGA-PBE geometry in Alexandria.
No peak broadening, texture or thermal motion is included.

Structure:
Unit cell a=8.985 b=8.985 c=10.985 alpha=96.48 beta=96.48 gamma=52.82
Atoms (fractional coordinates):
1 La 0.076 0.321 0.182
2 La 0.321 0.076 0.682
3 La 0.679 0.924 0.318
4 La 0.924 0.679 0.818
5 Ce 0.409 0.591 0.250
6 Ce 0.591 0.409 0.750
7 Si 0.304 0.376 0.468
8 Si 0.376 0.304 0.968
9 Si 0.624 0.696 0.032
10 Si 0.696 0.624 0.532
11 S 0.114 0.596 0.350
12 S 0.150 0.287 0.915
13 S 0.252 0.450 0.657
14 S 0.281 0.583 0.951
15 S 0.287 0.150 0.415
16 S 0.404 0.886 0.150
17 S 0.417 0.719 0.549
18 S 0.450 0.252 0.157
19 S 0.550 0.748 0.843
20 S 0.583 0.281 0.451
21 S 0.596 0.114 0.850
22 S 0.713 0.850 0.585
23 S 0.719 0.417 0.049
24 S 0.748 0.550 0.343
25 S 0.850 0.713 0.085
26 S 0.886 0.404 0.650
27 I 0.009 0.991 0.750
28 I 0.991 0.009 0.250

Peak list (6 most intense, 2θ from 5° to 70°, most intense first)
| 2θ/deg | Rel. int. |
| --- | --- |
| 16.3 | 100 |
| 32.0 | 71 |
| 23.7 | 62 |
| 20.9 | 57 |
| 26.0 | 49 |
| 29.1 | 42 |

Entry 3:
# RbNaY2Cl8
Computed X-ray powder pattern, Cu Kα, 1.54184 Å. Input: the GGA-PBE geometry in Alexandria.
No peak broadening, texture or thermal motion is included.

Structure:
Unit cell a=6.827 b=8.356 c=6.976 alpha=90.00 beta=94.40 gamma=90.00
Atoms (fractional coordinates):
1 Rb 0.000 0.000 0.000
2 Na 0.000 0.500 0.000
3 Y 0.500 0.256 0.500
4 Y 0.500 0.744 0.500
5 Cl 0.241 0.276 0.209
6 Cl 0.241 0.724 0.209
7 Cl 0.307 0.500 0.662
8 Cl 0.315 0.000 0.650
9 Cl 0.685 0.000 0.350
10 Cl 0.693 0.500 0.338
11 Cl 0.759 0.276 0.791
12 Cl 0.759 0.724 0.791

Peak list (6 most intense, 2θ from 5° to 70°, most intense first)
| 2θ/deg | Rel. int. |
| --- | --- |
| 17.5 | 100 |
| 18.9 | 58 |
| 35.7 | 52 |
| 27.7 | 43 |
| 35.3 | 37 |
| 44.7 | 35 |